(1)
For Ba2Pb2Au, a PBE-relaxed structure gives the calculated powder diffractogram in this record (copper Kα).

Top 8 peaks for 2θ = 10–90°, in order of rising 2θ:
(hkl)	two_theta	d [Å]	Rel. int.
1 1 1	28.31	3.152	90
1 0 4	30.89	2.895	52
0 1 5	32.30	2.771	100
0 2 0	34.56	2.595	38
1 1 5	39.27	2.294	21
1 2 4	47.03	1.932	33
2 1 5	55.88	1.645	35
1 1 9	58.21	1.585	31

Crystal structure
```
data_Ba2Pb2Au
_cell_length_a 4.0892
_cell_length_b 5.1900
_cell_length_c 16.3926
_cell_angle_alpha 90.00
_cell_angle_beta 90.00
_cell_angle_gamma 90.00
_symmetry_space_group_name_H-M 'A m m 2'
_symmetry_Int_Tables_number 38
_symmetry_space_group_name_Hall 'A 2 -2'
loop_
_atom_site_label
_atom_site_type_symbol
_atom_site_fract_x
_atom_site_fract_y
_atom_site_fract_z
Ba1 Ba 0.0000 0.0000 0.0000
Ba2 Ba 0.0000 0.0000 0.2357
Pb1 Pb 0.5000 0.0000 0.6118
Pb2 Pb 0.5000 0.0000 0.8217
Au1 Au 0.5000 0.0000 0.4153
```

***

(2)
For DyErAs2Rh5, a PBE-relaxed structure gives the calculated powder diffractogram in this record (copper Kα).

Top 8 peaks for 2θ = 10–90°, in order of rising 2θ:
(hkl)	two_theta	d [Å]	Rel. int.
1 0 2	29.37	3.042	18
1 1 2	36.40	2.469	100
2 0 0	42.80	2.113	50
1 1 3	43.32	2.089	13
2 0 4	60.92	1.521	16
2 2 0	62.13	1.494	16
1 1 6	71.97	1.312	16
3 1 2	74.19	1.278	24

Crystal structure
```
data_DyErAs2Rh5
_cell_length_a 4.2257
_cell_length_b 4.2257
_cell_length_c 8.7627
_cell_angle_alpha 90.00
_cell_angle_beta 90.00
_cell_angle_gamma 90.00
_symmetry_space_group_name_H-M 'P 4/m m m'
_symmetry_Int_Tables_number 123
_symmetry_space_group_name_Hall '-P 4 2'
loop_
_atom_site_label
_atom_site_type_symbol
_atom_site_fract_x
_atom_site_fract_y
_atom_site_fract_z
Dy1 Dy 0.0000 0.0000 0.0000
Er1 Er 0.0000 0.0000 0.5000
As1 As 0.5000 0.5000 0.3549
Rh1 Rh 0.0000 0.5000 0.2326
Rh2 Rh 0.5000 0.5000 0.0000
```

***

(3)
For Li3Tl2SnBr8, a PBE-relaxed structure gives the calculated powder diffractogram in this record (copper Kα).

Top 8 peaks for 2θ = 10–90°, in order of rising 2θ:
(hkl)	two_theta	d [Å]	Rel. int.
1 1 0	21.08	4.214	100
0 1 5	23.25	3.825	54
1 1 3	24.24	3.672	95
2 0 2	25.67	3.471	52
0 2 4	29.19	3.060	40
2 0 5	31.59	2.832	64
2 0 8	40.54	2.225	56
2 2 0	42.92	2.107	82

Crystal structure
```
data_Li3Tl2SnBr8
_cell_length_a 8.4280
_cell_length_b 8.4280
_cell_length_c 22.4591
_cell_angle_alpha 90.00
_cell_angle_beta 90.00
_cell_angle_gamma 120.00
_symmetry_space_group_name_H-M 'R 3 m'
_symmetry_Int_Tables_number 160
_symmetry_space_group_name_Hall 'R 3 -2"'
loop_
_atom_site_label
_atom_site_type_symbol
_atom_site_fract_x
_atom_site_fract_y
_atom_site_fract_z
Li1 Li 0.1719 0.3437 0.0000
Tl1 Tl 0.0000 0.0000 0.1717
Tl2 Tl 0.0000 0.0000 0.5393
Sn1 Sn 0.0000 0.0000 0.8053
Br1 Br 0.0000 0.0000 0.4007
Br2 Br 0.0000 0.0000 0.9584
Br3 Br 0.0153 0.5077 0.4106
Br4 Br 0.0168 0.5084 0.9385
```

***

(4)
For B2ClO2, a PBE-relaxed structure gives the calculated powder diffractogram in this record (copper Kα).

Top 8 peaks for 2θ = 10–90°, in order of rising 2θ:
(hkl)	two_theta	d [Å]	Rel. int.
1 0 1	20.37	4.360	57
1 1 2	33.51	2.674	87
2 0 0	33.68	2.661	49
1 0 3	39.39	2.288	52
2 1 1	39.68	2.272	100
2 0 2	41.42	2.180	21
3 1 2	60.12	1.539	24
3 2 1	64.28	1.449	29

Crystal structure
```
data_B2ClO2
_cell_length_a 5.3227
_cell_length_b 5.3227
_cell_length_c 7.6007
_cell_angle_alpha 90.00
_cell_angle_beta 90.00
_cell_angle_gamma 90.00
_symmetry_space_group_name_H-M 'I 41 m d'
_symmetry_Int_Tables_number 109
_symmetry_space_group_name_Hall 'I 4bw -2'
loop_
_atom_site_label
_atom_site_type_symbol
_atom_site_fract_x
_atom_site_fract_y
_atom_site_fract_z
B1 B 0.0000 0.1616 0.0000
Cl1 Cl 0.0000 0.0000 0.5937
O1 O 0.0000 0.2763 0.1785
```

***

(5)
For Ga4Ni3Pt, a PBE-relaxed structure gives the calculated powder diffractogram in this record (copper Kα).

Top 8 peaks for 2θ = 10–90°, in order of rising 2θ:
(hkl)	two_theta	d [Å]	Rel. int.
1 0 1	18.63	4.762	33
0 2 1	32.63	2.745	31
2 0 2	37.78	2.381	23
2 -1 3	42.36	2.134	100
2 1 1	42.54	2.125	90
1 0 4	46.52	1.952	32
3 0 0	46.80	1.941	76
1 4 0	74.76	1.270	33

Crystal structure
```
data_Ga4Ni3Pt
_cell_length_a 6.7174
_cell_length_b 6.7174
_cell_length_c 8.2894
_cell_angle_alpha 90.00
_cell_angle_beta 90.00
_cell_angle_gamma 120.00
_symmetry_space_group_name_H-M 'R 3'
_symmetry_Int_Tables_number 146
_symmetry_space_group_name_Hall 'R 3'
loop_
_atom_site_label
_atom_site_type_symbol
_atom_site_fract_x
_atom_site_fract_y
_atom_site_fract_z
Ga1 Ga 0.0000 0.0000 0.0000
Ga2 Ga 0.1041 0.7003 0.2252
Ni1 Ni 0.0230 0.2608 0.7857
Pt1 Pt 0.0000 0.0000 0.3052
```

***

(6)
For Pm2Ga5Rh5, a PBE-relaxed structure gives the calculated powder diffractogram in this record (copper Kα).

Top 8 peaks for 2θ = 10–90°, in order of rising 2θ:
(hkl)	two_theta	d [Å]	Rel. int.
1 1 1	28.57	3.125	30
0 2 0	32.94	2.719	20
0 1 3	33.15	2.703	30
1 2 0	39.52	2.280	46
1 1 3	39.70	2.270	100
2 0 0	43.24	2.092	36
1 2 2	44.20	2.049	19
1 3 3	63.39	1.467	25

Crystal structure
```
data_Pm2Ga5Rh5
_cell_length_a 4.1849
_cell_length_b 5.4384
_cell_length_c 9.3430
_cell_angle_alpha 90.00
_cell_angle_beta 90.00
_cell_angle_gamma 90.00
_symmetry_space_group_name_H-M 'P m m m'
_symmetry_Int_Tables_number 47
_symmetry_space_group_name_Hall '-P 2 2'
loop_
_atom_site_label
_atom_site_type_symbol
_atom_site_fract_x
_atom_site_fract_y
_atom_site_fract_z
Pm1 Pm 0.0000 0.0000 0.0000
Pm2 Pm 0.0000 0.5000 0.5000
Ga1 Ga 0.5000 0.0000 0.5000
Ga2 Ga 0.5000 0.2488 0.2386
Rh1 Rh 0.0000 0.0000 0.3327
Rh2 Rh 0.0000 0.5000 0.1915
Rh3 Rh 0.5000 0.5000 0.0000
```

***

(7)
For Pm5TmPb5, a PBE-relaxed structure gives the calculated powder diffractogram in this record (copper Kα).

Top 8 peaks for 2θ = 10–90°, in order of rising 2θ:
(hkl)	two_theta	d [Å]	Rel. int.
0 2 0	28.72	3.108	100
4 0 -2	28.86	3.093	75
2 0 2	30.11	2.968	71
1 1 2	30.80	2.903	34
6 0 0	33.41	2.682	65
4 2 -2	41.17	2.192	58
2 2 2	42.10	2.147	58
6 2 0	44.62	2.031	59

Crystal structure
```
data_Pm5TmPb5
_cell_length_a 16.6809
_cell_length_b 6.2161
_cell_length_c 7.3461
_cell_angle_alpha 90.00
_cell_angle_beta 105.24
_cell_angle_gamma 90.00
_symmetry_space_group_name_H-M 'C 1 2/m 1'
_symmetry_Int_Tables_number 12
_symmetry_space_group_name_Hall '-C 2y'
loop_
_atom_site_label
_atom_site_type_symbol
_atom_site_fract_x
_atom_site_fract_y
_atom_site_fract_z
Pm1 Pm 0.0000 0.0000 0.0000
Pm2 Pm 0.1580 0.5000 0.2872
Pm3 Pm 0.1752 0.5000 0.7937
Tm1 Tm 0.0000 0.0000 0.5000
Pb1 Pb 0.0000 0.5000 0.5000
Pb2 Pb 0.1626 0.0000 0.8657
Pb3 Pb 0.1650 0.0000 0.3897
```

***

(8)
For LiNdAsN2, a PBE-relaxed structure gives the calculated powder diffractogram in this record (copper Kα).

Top 8 peaks for 2θ = 10–90°, in order of rising 2θ:
(hkl)	two_theta	d [Å]	Rel. int.
0 1 1	26.22	3.399	100
1 1 -1	28.94	3.086	58
1 0 -2	30.16	2.964	98
2 0 0	31.27	2.861	68
1 1 1	32.17	2.782	91
1 0 2	36.18	2.483	46
2 1 -1	38.69	2.328	40
1 2 0	47.17	1.927	57

Crystal structure
```
data_LiNdAsN2
_cell_length_a 5.8530
_cell_length_b 4.0929
_cell_length_c 6.2408
_cell_angle_alpha 90.00
_cell_angle_beta 102.17
_cell_angle_gamma 90.00
_symmetry_space_group_name_H-M 'P 1 2/c 1'
_symmetry_Int_Tables_number 13
_symmetry_space_group_name_Hall '-P 2yc'
loop_
_atom_site_label
_atom_site_type_symbol
_atom_site_fract_x
_atom_site_fract_y
_atom_site_fract_z
Li1 Li 0.0000 0.0110 0.2500
Nd1 Nd 0.5000 0.2444 0.7500
As1 As 0.0000 0.5000 0.0000
N1 N 0.2712 0.2029 0.0438
```

***

(9)
For Na2B3C, a PBE-relaxed structure gives the calculated powder diffractogram in this record (copper Kα).

Top 8 peaks for 2θ = 10–90°, in order of rising 2θ:
(hkl)	two_theta	d [Å]	Rel. int.
1 2 -1	35.48	2.530	20
1 2 1	41.40	2.181	100
2 -1 2	41.69	2.166	50
0 0 4	42.03	2.150	37
3 1 -1	64.12	1.452	17
1 2 5	76.37	1.247	12
2 4 0	78.86	1.214	11
3 1 3	79.67	1.204	22

Crystal structure
```
data_Na2B3C
_cell_length_a 5.0160
_cell_length_b 7.7438
_cell_length_c 9.0849
_cell_angle_alpha 107.77
_cell_angle_beta 90.01
_cell_angle_gamma 108.90
_symmetry_space_group_name_H-M 'P 1'
_symmetry_Int_Tables_number 1
_symmetry_space_group_name_Hall 'P 1'
loop_
_atom_site_label
_atom_site_type_symbol
_atom_site_fract_x
_atom_site_fract_y
_atom_site_fract_z
Na1 Na 0.0000 0.0000 0.0000
Na2 Na 0.0934 0.1986 0.4945
Na3 Na 0.1956 0.4019 0.0010
Na4 Na 0.2971 0.5974 0.4915
Na5 Na 0.3999 0.8020 0.0020
Na6 Na 0.4969 0.9969 0.4916
Na7 Na 0.5988 0.2002 0.9994
Na8 Na 0.6931 0.3978 0.4944
Na9 Na 0.7953 0.5998 0.0010
Na10 Na 0.8994 0.7970 0.4913
B1 B 0.0411 0.7182 0.7469
B2 B 0.0579 0.4941 0.7463
B3 B 0.1638 0.6992 0.2470
B4 B 0.2220 0.0805 0.7469
B5 B 0.3816 0.0990 0.2463
B6 B 0.4070 0.5086 0.7460
B7 B 0.4626 0.3039 0.7462
B8 B 0.5151 0.6994 0.2474
B9 B 0.5783 0.4872 0.2467
B10 B 0.6172 0.8992 0.7470
B11 B 0.6873 0.6937 0.7466
B12 B 0.7902 0.9110 0.2468
B13 B 0.7973 0.2897 0.7464
B14 B 0.8928 0.1050 0.7471
B15 B 0.9815 0.2991 0.2464
C1 C 0.1156 0.9020 0.2466
C2 C 0.2956 0.8996 0.7475
C3 C 0.3163 0.2930 0.2459
C4 C 0.7223 0.1048 0.2461
C5 C 0.9127 0.4963 0.2471
```

***

(10)
For YNiB4, a PBE-relaxed structure gives the calculated powder diffractogram in this record (copper Kα).

Top 8 peaks for 2θ = 10–90°, in order of rising 2θ:
(hkl)	two_theta	d [Å]	Rel. int.
2 0 0	23.57	3.774	38
2 1 1	28.44	3.139	26
2 0 2	31.66	2.826	55
1 0 3	33.70	2.659	29
2 2 2	39.85	2.262	100
3 2 1	44.56	2.033	21
4 0 0	48.24	1.886	41
3 2 5	71.31	1.322	20

Crystal structure
```
data_YNiB4
_cell_length_a 7.5486
_cell_length_b 7.5486
_cell_length_c 8.5246
_cell_angle_alpha 90.00
_cell_angle_beta 90.00
_cell_angle_gamma 90.00
_symmetry_space_group_name_H-M 'I 4/m m m'
_symmetry_Int_Tables_number 139
_symmetry_space_group_name_Hall '-I 4 2'
loop_
_atom_site_label
_atom_site_type_symbol
_atom_site_fract_x
_atom_site_fract_y
_atom_site_fract_z
Y1 Y 0.0000 0.0000 0.2032
Y2 Y 0.0000 0.5000 0.2500
Ni1 Ni 0.0000 0.2290 0.5000
B1 B 0.1115 0.2755 0.0000
B2 B 0.2338 0.2338 0.3474
```

***

(11)
For Pm9Pr11Er4, a PBE-relaxed structure gives the calculated powder diffractogram in this record (copper Kα).

Top 8 peaks for 2θ = 10–90°, in order of rising 2θ:
(hkl)	two_theta	d [Å]	Rel. int.
4 6 0	29.04	3.075	90
2 4 1	29.57	3.021	30
3 3 1	30.51	2.930	33
1 9 0	30.90	2.894	29
0 6 1	31.59	2.832	87
4 0 1	31.94	2.802	100
0 0 2	49.27	1.849	24
4 6 2	58.22	1.585	37

Crystal structure
```
data_Pm9Pr11Er4
_cell_length_a 17.1798
_cell_length_b 26.4258
_cell_length_c 3.6988
_cell_angle_alpha 90.00
_cell_angle_beta 90.00
_cell_angle_gamma 90.00
_symmetry_space_group_name_H-M 'C m m m'
_symmetry_Int_Tables_number 65
_symmetry_space_group_name_Hall '-C 2 2'
loop_
_atom_site_label
_atom_site_type_symbol
_atom_site_fract_x
_atom_site_fract_y
_atom_site_fract_z
Pm1 Pm 0.0000 0.0000 0.0000
Pm2 Pm 0.1035 0.2303 0.0000
Pm3 Pm 0.1380 0.4253 0.0000
Pr1 Pr 0.0000 0.1298 0.5000
Pr2 Pr 0.0000 0.3359 0.5000
Pr3 Pr 0.0000 0.5000 0.5000
Pr4 Pr 0.2099 0.0000 0.5000
Pr5 Pr 0.2215 0.3195 0.5000
Er1 Er 0.1594 0.1015 0.0000
```

***

(12)
For Zn2Ag3, a PBE-relaxed structure gives the calculated powder diffractogram in this record (copper Kα).

Top 8 peaks for 2θ = 10–90°, in order of rising 2θ:
(hkl)	two_theta	d [Å]	Rel. int.
4 0 0	37.84	2.378	25
1 5 1	38.73	2.325	100
3 3 1	38.84	2.319	29
2 0 2	39.63	2.274	76
4 2 0	40.20	2.243	25
2 2 2	41.91	2.155	14
3 5 1	47.55	1.912	37
1 5 3	64.82	1.438	19

Crystal structure
```
data_Zn2Ag3
_cell_length_a 9.5107
_cell_length_b 13.5265
_cell_length_c 5.1785
_cell_angle_alpha 90.00
_cell_angle_beta 90.00
_cell_angle_gamma 90.00
_symmetry_space_group_name_H-M 'F d d 2'
_symmetry_Int_Tables_number 43
_symmetry_space_group_name_Hall 'F 2 -2d'
loop_
_atom_site_label
_atom_site_type_symbol
_atom_site_fract_x
_atom_site_fract_y
_atom_site_fract_z
Zn1 Zn 0.0261 0.2023 0.0000
Ag1 Ag 0.0000 0.0000 0.0549
Ag2 Ag 0.0459 0.1008 0.5427
```